# 1
For Pm2GePt6, DFT lattice parameters and positions (PBE) gives the computed powder X-ray diffraction pattern in this record (Cu Kα, 1.54184 Å).

Top 6 peaks for 10° ≤ 2θ ≤ 90°, low angle first:
2θ/deg  I_rel
29.35  27
37.86  100
41.44  50
42.18  23
46.27  11
65.86  22

Crystal structure
Lattice parameters (Å, degrees): 5.6745 5.6745 6.2718 102.03 102.03 60.35
Element x y z (fractional)
Pm1 0.1436 0.1436 0.3538
Pm2 0.8564 0.8564 0.6462
Ge1 0.5000 0.5000 0.5000
Pt1 0.1078 0.6224 0.1876
Pt2 0.3782 0.3782 0.8054
Pt3 0.3776 0.8922 0.8124
Pt4 0.6224 0.1078 0.1876
Pt5 0.6218 0.6218 0.1946
Pt6 0.8922 0.3776 0.8124

=====

# 2
For LiPr2PdAu2, DFT lattice parameters and positions (PBE) gives the computed powder X-ray diffraction pattern in this record (Cu Kα, 1.54184 Å).

Top 6 peaks for 10° ≤ 2θ ≤ 90°, low angle first:
2θ/deg  I_rel
23.82  54
29.41  63
31.74  23
33.51  21
38.18  100
42.07  45

Crystal structure
Lattice parameters (Å, degrees): 8.6232 8.6232 8.6232 138.68 59.75 138.82
Element x y z (fractional)
Li1 0.2500 0.2500 0.0000
Li2 0.7500 0.7500 0.0000
Pr1 0.1587 0.7139 0.8726
Pr2 0.3413 0.2139 0.5552
Pr3 0.6587 0.7861 0.4448
Pr4 0.8413 0.2861 0.1274
Pd1 0.2500 0.7500 0.5000
Pd2 0.7500 0.2500 0.5000
Au1 0.1262 0.2156 0.3418
Au2 0.3738 0.7156 0.0895
Au3 0.6262 0.2844 0.9105
Au4 0.8738 0.7844 0.6582